No. 1
For Ac2Ga5Ir4, a GGA-PBE-relaxed structure gives the simulated powder diffraction line list in this record (Cu Kα X-rays).
Kinematic intensities with the Lorentz-polarization factor, no thermal factor.

```
data_Ac2Ga5Ir4
_chemical_formula_sum 'Ac8 Ga20 Ir16'
_symmetry_space_group_name_H-M 'F m m m'
_symmetry_Int_Tables_number 69
_symmetry_space_group_name_Hall '-F 2 2'
_cell_length_a 5.6996
_cell_length_b 10.5675
_cell_length_c 14.9365
_cell_angle_alpha 90.00
_cell_angle_beta 90.00
_cell_angle_gamma 90.00
loop_
_atom_site_label
_atom_site_fract_x
_atom_site_fract_y
_atom_site_fract_z
_atom_site_occupancy
Ac1 0.0000 0.0000 0.1532 1
Ga1 0.0000 0.0000 0.5000 1
Ga2 0.2500 0.2500 0.0000 1
Ga3 0.2500 0.2500 0.2500 1
Ir1 0.0000 0.1517 0.3733 1
```

Most intense lines, 5° ≤ 2θ ≤ 70°, by angle:
| 2θ (°) | d [Å] | I (rel.) |
| --- | --- | --- |
| 23.83 | 3.734 | 30 |
| 30.43 | 2.938 | 60 |
| 31.39 | 2.850 | 28 |
| 34.95 | 2.567 | 100 |
| 39.79 | 2.265 | 53 |
| 42.74 | 2.116 | 13 |
| 52.66 | 1.738 | 22 |
| 57.89 | 1.593 | 15 |
| 58.20 | 1.585 | 24 |
| 61.94 | 1.498 | 18 |

No. 2
For AcGa2IrRh, a GGA-PBE-relaxed structure gives the simulated powder diffraction line list in this record (Cu Kα X-rays).
Kinematic intensities with the Lorentz-polarization factor, no thermal factor.

```
data_AcGa2IrRh
_chemical_formula_sum 'Ac2 Ga4 Ir2 Rh2'
_symmetry_space_group_name_H-M 'I -4 m 2'
_symmetry_Int_Tables_number 119
_symmetry_space_group_name_Hall 'I -4 -2'
_cell_length_a 4.3850
_cell_length_b 4.3850
_cell_length_c 10.4059
_cell_angle_alpha 90.00
_cell_angle_beta 90.00
_cell_angle_gamma 90.00
loop_
_atom_site_label
_atom_site_fract_x
_atom_site_fract_y
_atom_site_fract_z
_atom_site_occupancy
Ac1 0.0000 0.0000 0.0000 1
Ga1 0.0000 0.0000 0.3672 1
Ir1 0.0000 0.5000 0.2500 1
Rh1 0.0000 0.5000 0.7500 1
```

Most intense lines, 5° ≤ 2θ ≤ 70°, by angle:
| 2θ (°) | d [Å] | I (rel.) |
| --- | --- | --- |
| 22.00 | 4.041 | 24 |
| 32.92 | 2.720 | 51 |
| 33.65 | 2.664 | 100 |
| 34.48 | 2.601 | 13 |
| 41.17 | 2.192 | 50 |
| 48.41 | 1.880 | 14 |
| 53.69 | 1.707 | 26 |
| 54.75 | 1.676 | 14 |
| 59.64 | 1.550 | 17 |
| 61.24 | 1.514 | 22 |

No. 3
For AcSmGa2Ir2, a GGA-PBE-relaxed structure gives the simulated powder diffraction line list in this record (Cu Kα X-rays).
Kinematic intensities with the Lorentz-polarization factor, no thermal factor.

```
data_AcSmGa2Ir2
_chemical_formula_sum 'Ac1 Sm1 Ga2 Ir2'
_symmetry_space_group_name_H-M 'P -3 m 1'
_symmetry_Int_Tables_number 164
_symmetry_space_group_name_Hall '-P 3 2"'
_cell_length_a 4.4134
_cell_length_b 4.4134
_cell_length_c 7.9903
_cell_angle_alpha 90.00
_cell_angle_beta 90.00
_cell_angle_gamma 120.00
loop_
_atom_site_label
_atom_site_fract_x
_atom_site_fract_y
_atom_site_fract_z
_atom_site_occupancy
Ac1 0.0000 0.0000 0.0000 1
Sm1 0.0000 0.0000 0.5000 1
Ga1 0.3333 0.6667 0.2765 1
Ir1 0.3333 0.6667 0.7282 1
```

Most intense lines, 5° ≤ 2θ ≤ 70°, by angle:
| 2θ (°) | d [Å] | I (rel.) |
| --- | --- | --- |
| 25.84 | 3.448 | 23 |
| 32.42 | 2.762 | 100 |
| 40.90 | 2.207 | 55 |
| 41.32 | 2.185 | 5 |
| 45.40 | 1.998 | 11 |
| 49.01 | 1.859 | 4 |
| 53.13 | 1.724 | 25 |
| 53.96 | 1.699 | 5 |
| 62.74 | 1.481 | 26 |
| 69.15 | 1.359 | 23 |

No. 4
For Ac2TmGa3Ir4, a GGA-PBE-relaxed structure gives the simulated powder diffraction line list in this record (Cu Kα X-rays).
Kinematic intensities with the Lorentz-polarization factor, no thermal factor.

```
data_Ac2TmGa3Ir4
_chemical_formula_sum 'Ac2 Tm1 Ga3 Ir4'
_symmetry_space_group_name_H-M 'P -4 m 2'
_symmetry_Int_Tables_number 115
_cell_length_a 4.3566
_cell_length_b 4.3566
_cell_length_c 11.1410
_cell_angle_alpha 90.00
_cell_angle_beta 90.00
_cell_angle_gamma 90.00
loop_
_symmetry_equiv_pos_as_xyz
'x,y,z'
'y,-x,-z'
'-x,-y,z'
'-y,x,-z'
'-x,y,z'
'-y,-x,-z'
'x,-y,z'
'y,x,-z'
loop_
_atom_site_label
_atom_site_fract_x
_atom_site_fract_y
_atom_site_fract_z
_atom_site_occupancy
Ac1 0.0000 0.5000 0.2283 1
Tm1 0.0000 0.0000 0.5000 1
Ga1 0.0000 0.5000 0.8854 1
Ga2 0.5000 0.5000 0.5000 1
Ir1 0.0000 0.0000 0.0000 1
Ir2 0.0000 0.5000 0.6518 1
Ir3 0.5000 0.5000 0.0000 1
```

Most intense lines, 5° ≤ 2θ ≤ 70°, by angle:
| 2θ (°) | d [Å] | I (rel.) |
| --- | --- | --- |
| 25.96 | 3.432 | 16 |
| 31.66 | 2.826 | 35 |
| 33.23 | 2.696 | 100 |
| 38.36 | 2.347 | 13 |
| 41.45 | 2.178 | 52 |
| 43.82 | 2.066 | 16 |
| 45.74 | 1.984 | 20 |
| 53.08 | 1.725 | 17 |
| 60.07 | 1.540 | 18 |
| 63.42 | 1.467 | 15 |

No. 5
For KAcGaO4, a GGA-PBE-relaxed structure gives the simulated powder diffraction line list in this record (Cu Kα X-rays).
Kinematic intensities with the Lorentz-polarization factor, no thermal factor.

```
data_KAcGaO4
_chemical_formula_sum 'K2 Ac2 Ga2 O8'
_symmetry_space_group_name_H-M 'P 1 21/m 1'
_symmetry_Int_Tables_number 11
_cell_length_a 6.3867
_cell_length_b 4.8780
_cell_length_c 8.3479
_cell_angle_alpha 90.00
_cell_angle_beta 102.82
_cell_angle_gamma 90.00
loop_
_symmetry_equiv_pos_as_xyz
'x,y,z'
'-x,-y,-z'
'-x,y+1/2,-z'
'x,-y+1/2,z'
loop_
_atom_site_label
_atom_site_fract_x
_atom_site_fract_y
_atom_site_fract_z
_atom_site_occupancy
K1 0.2208 0.2500 0.4752 1
Ac1 0.2375 0.2500 0.9284 1
Ga1 0.2719 0.7500 0.2068 1
O1 0.0661 0.7500 0.3255 1
O2 0.1271 0.7500 0.9819 1
O3 0.4867 0.0145 0.2130 1
```

Most intense lines, 5° ≤ 2θ ≤ 70°, by angle:
| 2θ (°) | d [Å] | I (rel.) |
| --- | --- | --- |
| 10.87 | 8.140 | 100 |
| 21.23 | 4.184 | 36 |
| 23.16 | 3.840 | 28 |
| 24.24 | 3.672 | 17 |
| 28.56 | 3.125 | 25 |
| 28.70 | 3.111 | 37 |
| 29.72 | 3.006 | 28 |
| 34.22 | 2.620 | 21 |
| 36.85 | 2.439 | 17 |
| 47.35 | 1.920 | 22 |

No. 6
For KAcGaTe3, a GGA-PBE-relaxed structure gives the simulated powder diffraction line list in this record (Cu Kα X-rays).
Kinematic intensities with the Lorentz-polarization factor, no thermal factor.

```
data_KAcGaTe3
_chemical_formula_sum 'K2 Ac2 Ga2 Te6'
_symmetry_space_group_name_H-M 'P 1 21/m 1'
_symmetry_Int_Tables_number 11
_cell_length_a 9.6481
_cell_length_b 5.0464
_cell_length_c 10.4901
_cell_angle_alpha 90.00
_cell_angle_beta 102.62
_cell_angle_gamma 90.00
loop_
_symmetry_equiv_pos_as_xyz
'x,y,z'
'-x,-y,-z'
'-x,y+1/2,-z'
'x,-y+1/2,z'
loop_
_atom_site_label
_atom_site_fract_x
_atom_site_fract_y
_atom_site_fract_z
_atom_site_occupancy
K1 0.1937 0.2500 0.2296 1
Ac1 0.3287 0.7500 0.8526 1
Ga1 0.1037 0.2500 0.5871 1
Te1 0.0948 0.2500 0.8498 1
Te2 0.1937 0.7500 0.5224 1
Te3 0.4490 0.7500 0.1719 1
```

Most intense lines, 5° ≤ 2θ ≤ 70°, by angle:
| 2θ (°) | d [Å] | I (rel.) |
| --- | --- | --- |
| 11.29 | 7.835 | 83 |
| 19.96 | 4.448 | 17 |
| 25.93 | 3.436 | 100 |
| 26.11 | 3.412 | 39 |
| 31.35 | 2.853 | 22 |
| 33.62 | 2.666 | 23 |
| 35.58 | 2.523 | 26 |
| 40.42 | 2.232 | 29 |
| 40.98 | 2.202 | 12 |
| 44.67 | 2.029 | 18 |